[1]
This entry pairs a crystal structure of Al4TcCl with its calculated XRD peak list. Radiation: a wavelength of 1.5418 Å. Structure: DFT lattice parameters and positions (GGA-PBE).
Kinematic intensities with the Lorentz-polarization factor, no thermal factor.

Atomic structure:
```
Al4TcCl
1.0
0.0000 3.7056 3.7056
3.7056 0.0000 3.7056
3.7056 3.7056 0.0000
Al Tc Cl
4 1 1
Cartesian
2.7852 2.7852 2.7852
4.6260 4.6260 2.7852
4.6260 2.7852 4.6260
2.7852 4.6260 4.6260
5.5584 5.5584 5.5584
0.0000 0.0000 0.0000
```

Main lines, in order of rising 2θ (5 to 70 degrees two-theta):
| two_theta | intensity |
| --- | --- |
| 20.76 | 30 |
| 24.02 | 16 |
| 34.22 | 60 |
| 40.36 | 100 |
| 42.24 | 19 |
| 53.93 | 7 |
| 55.45 | 8 |
| 61.27 | 20 |
| 65.44 | 30 |

[2]
This entry pairs a crystal structure of AlTcCl with its calculated XRD peak list. Radiation: a wavelength of 1.5418 Å. Structure: DFT lattice parameters and positions (GGA-PBE).
Kinematic intensities with the Lorentz-polarization factor, no thermal factor.

Atomic structure:
```
AlTcCl
1.0
2.9660 0.0000 0.0000
-1.4830 2.5687 0.0000
0.0000 0.0000 7.8304
Al Tc Cl
1 1 1
Cartesian
0.0000 0.0000 0.0000
0.0000 1.7124 5.9341
1.4830 0.8562 1.7035
```

Main lines, in order of rising 2θ (5 to 70 degrees two-theta):
| two_theta | intensity |
| --- | --- |
| 11.30 | 100 |
| 22.71 | 41 |
| 34.93 | 17 |
| 36.83 | 91 |
| 42.07 | 52 |
| 46.38 | 11 |
| 49.81 | 38 |
| 59.36 | 10 |
| 62.64 | 16 |
| 67.54 | 10 |

Please write out number 1 again, unchanged.
This entry pairs a crystal structure of Al4TcCl with its calculated XRD peak list. Radiation: a wavelength of 1.5418 Å. Structure: DFT lattice parameters and positions (GGA-PBE).
Kinematic intensities with the Lorentz-polarization factor, no thermal factor.

Atomic structure:
```
Al4TcCl
1.0
0.0000 3.7056 3.7056
3.7056 0.0000 3.7056
3.7056 3.7056 0.0000
Al Tc Cl
4 1 1
Cartesian
2.7852 2.7852 2.7852
4.6260 4.6260 2.7852
4.6260 2.7852 4.6260
2.7852 4.6260 4.6260
5.5584 5.5584 5.5584
0.0000 0.0000 0.0000
```

Main lines, in order of rising 2θ (5 to 70 degrees two-theta):
| two_theta | intensity |
| --- | --- |
| 20.76 | 30 |
| 24.02 | 16 |
| 34.22 | 60 |
| 40.36 | 100 |
| 42.24 | 19 |
| 53.93 | 7 |
| 55.45 | 8 |
| 61.27 | 20 |
| 65.44 | 30 |

> Number 1 is which compound?

Al4TcCl